Record 1
# Li2HfZrIn2Pt2
Simulated powder diffractogram, copper Kα. Input: a crystal structure in OQMD, relaxed with PBE.
Kinematic intensities with the Lorentz-polarization factor, no thermal factor.

Peak list (10 most intense, 2θ from 10° to 90°, by intensity)
- hkl 2 0 0, 2θ 39.07, I 100
- hkl 1 0 1, 2θ 23.63, I 42
- hkl 3 1 2, 2θ 70.79, I 35
- hkl 2 1 1, 2θ 46.17, I 22
- hkl 2 2 0, 2θ 56.45, I 17
- hkl 4 0 0, 2θ 83.95, I 11
- hkl 3 0 1, 2θ 62.04, I 9
- hkl 4 1 1, 2θ 88.77, I 7
- hkl 3 2 1, 2θ 75.81, I 7
- hkl 0 0 1, 2θ 13.58, I 2

Structural model:
```
Li2HfZrIn2Pt2
1.0
4.610 0.000 0.000
0.000 4.610 0.000
0.000 0.000 6.522
Li Hf Zr In Pt
2 1 1 2 2
Direct
0.000 0.500 0.250 Li
0.500 0.000 0.750 Li
0.000 0.000 0.500 Hf
0.500 0.500 0.000 Zr
0.000 0.000 0.000 In
0.500 0.500 0.500 In
0.000 0.500 0.746 Pt
0.500 0.000 0.254 Pt
```

***

Record 2
# LaErGa2I2
Simulated powder diffractogram, copper Kα. Input: a crystal structure in OQMD, relaxed with PBE.
Kinematic intensities with the Lorentz-polarization factor, no thermal factor.

Peak list (10 most intense, 2θ from 10° to 90°, by intensity)
- hkl 1 0 3, 2θ 32.49, I 100
- hkl 1 1 0, 2θ 42.30, I 48
- hkl 1 0 2, 2θ 28.09, I 46
- hkl 1 0 1, 2θ 25.11, I 38
- hkl 1 1 6, 2θ 62.59, I 30
- hkl 0 2 3, 2θ 54.33, I 23
- hkl 2 1 3, 2θ 71.16, I 20
- hkl 0 1 5, 2θ 43.99, I 19
- hkl 0 0 6, 2θ 43.86, I 11
- hkl 0 0 2, 2θ 14.30, I 11

Structural model:
```
LaErGa2I2
1.0
4.274 0.000 0.000
-2.137 3.701 0.000
0.000 0.000 12.386
La Er Ga I
1 1 2 2
Direct
0.000 0.000 0.000 La
0.000 0.000 0.666 Er
0.333 0.667 0.852 Ga
0.667 0.333 0.798 Ga
0.333 0.667 0.510 I
0.667 0.333 0.174 I
```

***

What did the first record say?
# Li2HfZrIn2Pt2
Simulated powder diffractogram, copper Kα. Input: a crystal structure in OQMD, relaxed with PBE.
Kinematic intensities with the Lorentz-polarization factor, no thermal factor.

Peak list (10 most intense, 2θ from 10° to 90°, by intensity)
- hkl 2 0 0, 2θ 39.07, I 100
- hkl 1 0 1, 2θ 23.63, I 42
- hkl 3 1 2, 2θ 70.79, I 35
- hkl 2 1 1, 2θ 46.17, I 22
- hkl 2 2 0, 2θ 56.45, I 17
- hkl 4 0 0, 2θ 83.95, I 11
- hkl 3 0 1, 2θ 62.04, I 9
- hkl 4 1 1, 2θ 88.77, I 7
- hkl 3 2 1, 2θ 75.81, I 7
- hkl 0 0 1, 2θ 13.58, I 2

Structural model:
```
Li2HfZrIn2Pt2
1.0
4.610 0.000 0.000
0.000 4.610 0.000
0.000 0.000 6.522
Li Hf Zr In Pt
2 1 1 2 2
Direct
0.000 0.500 0.250 Li
0.500 0.000 0.750 Li
0.000 0.000 0.500 Hf
0.500 0.500 0.000 Zr
0.000 0.000 0.000 In
0.500 0.500 0.500 In
0.000 0.500 0.746 Pt
0.500 0.000 0.254 Pt
```

***

Please write out number 1 again, unchanged.
# Li2HfZrIn2Pt2
Simulated powder diffractogram, copper Kα. Input: a crystal structure in OQMD, relaxed with PBE.
Kinematic intensities with the Lorentz-polarization factor, no thermal factor.

Peak list (10 most intense, 2θ from 10° to 90°, by intensity)
- hkl 2 0 0, 2θ 39.07, I 100
- hkl 1 0 1, 2θ 23.63, I 42
- hkl 3 1 2, 2θ 70.79, I 35
- hkl 2 1 1, 2θ 46.17, I 22
- hkl 2 2 0, 2θ 56.45, I 17
- hkl 4 0 0, 2θ 83.95, I 11
- hkl 3 0 1, 2θ 62.04, I 9
- hkl 4 1 1, 2θ 88.77, I 7
- hkl 3 2 1, 2θ 75.81, I 7
- hkl 0 0 1, 2θ 13.58, I 2

Structural model:
```
Li2HfZrIn2Pt2
1.0
4.610 0.000 0.000
0.000 4.610 0.000
0.000 0.000 6.522
Li Hf Zr In Pt
2 1 1 2 2
Direct
0.000 0.500 0.250 Li
0.500 0.000 0.750 Li
0.000 0.000 0.500 Hf
0.500 0.500 0.000 Zr
0.000 0.000 0.000 In
0.500 0.500 0.500 In
0.000 0.500 0.746 Pt
0.500 0.000 0.254 Pt
```